The following is a theoretical powder X-ray diffraction pattern of K3V2MoO8. It was derived from a GGA+U-relaxed structure, using λ = 1.5418 Å (Cu Kα).
Lines closer than 0.1° are merged.

Largest 10 diffraction maxima, in order of rising 2θ, 10° ≤ 2θ ≤ 90°:
h k l  2theta  Rel. int.
0 0 1  11.67  36.0
1 0 1  21.06  36.1
0 1 2  29.41  83.0
1 1 0  30.50  100.0
2 0 2  42.88  48.7
1 2 2  53.52  27.6
3 0 0  54.20  17.2
1 1 4  57.94  20.6
2 2 0  63.47  18.5
3 1 2  71.47  11.6

a b c (Å): 5.8626 5.8626 7.5808
angles (deg): 90.00 90.00 120.00
Element x y z (fractional)
K: 0.0000 0.0000 0.0000
K: 0.3333 0.6667 0.6877
K: 0.6667 0.3333 0.3123
V: 0.3333 0.6667 0.2515
V: 0.6667 0.3333 0.7485
Mo: 0.0000 0.0000 0.5000
O: 0.1700 0.3400 0.3320
O: 0.1700 0.8300 0.3320
O: 0.3333 0.6667 0.0298
O: 0.3400 0.1700 0.6680
O: 0.6600 0.8300 0.3320
O: 0.6667 0.3333 0.9702
O: 0.8300 0.1700 0.6680
O: 0.8300 0.6600 0.6680